# 1
Structure and calculated XRD peak list of RbZnGa (a structure optimized by DFT (GGA-PBE); Cu Kα).
Peak positions follow from Bragg's law for the DFT cell and can differ from measured ones.

Crystal structure
```
data_RbZnGa
_chemical_formula_sum 'Rb2 Zn2 Ga2'
_cell_length_a 7.221
_cell_length_b 7.221
_cell_length_c 7.221
_cell_angle_alpha 143.36
_cell_angle_beta 116.69
_cell_angle_gamma 75.43
_space_group_name_H-M_alt 'P 1'
_space_group_IT_number 1
_space_group_name_Hall 'P 1'
loop_
_atom_site_label
_atom_site_fract_x
_atom_site_fract_y
_atom_site_fract_z
Rb1 0.242 0.242 0.000
Rb2 0.758 0.758 0.000
Zn1 0.176 0.500 0.676
Zn2 0.824 0.500 0.324
Ga1 0.336 0.000 0.336
Ga2 0.664 0.000 0.664
```

Peak list (8 most intense, 10 to 80 degrees two-theta, by angle)
two_theta	d/Å	Rel. int.
27.73	3.218	100.0
28.26	3.158	51.7
31.32	2.856	39.2
39.72	2.269	20.7
40.88	2.208	37.7
49.46	1.843	21.3
51.43	1.777	18.8
52.38	1.747	35.1

# 2
Structure and calculated XRD peak list of Rb2Zn3Ga17 (a structure optimized by DFT (GGA-PBE); Cu Kα).
Peak positions follow from Bragg's law for the DFT cell and can differ from measured ones.

Crystal structure
```
data_Rb2Zn3Ga17
_chemical_formula_sum 'Rb2 Zn3 Ga17'
_cell_length_a 8.031
_cell_length_b 8.031
_cell_length_c 8.031
_cell_angle_alpha 92.71
_cell_angle_beta 92.71
_cell_angle_gamma 92.71
_space_group_name_H-M_alt 'P 1'
_space_group_IT_number 1
_space_group_name_Hall 'P 1'
loop_
_atom_site_label
_atom_site_fract_x
_atom_site_fract_y
_atom_site_fract_z
Rb1 0.135 0.135 0.135
Rb2 0.865 0.865 0.865
Zn1 0.000 0.000 0.500
Zn2 0.000 0.500 0.000
Zn3 0.500 0.000 0.000
Ga1 0.000 0.500 0.500
Ga2 0.217 0.217 0.595
Ga3 0.217 0.595 0.217
Ga4 0.218 0.500 0.782
Ga5 0.218 0.782 0.500
Ga6 0.400 0.400 0.400
Ga7 0.405 0.783 0.783
Ga8 0.500 0.000 0.500
Ga9 0.500 0.218 0.782
Ga10 0.500 0.500 0.000
Ga11 0.500 0.782 0.218
Ga12 0.595 0.217 0.217
Ga13 0.600 0.600 0.600
Ga14 0.782 0.218 0.500
Ga15 0.782 0.500 0.218
Ga16 0.783 0.405 0.783
Ga17 0.783 0.783 0.405
```

Peak list (8 most intense, 10 to 80 degrees two-theta, by angle)
two_theta	d/Å	Rel. int.
11.04	8.012	44.4
24.34	3.656	64.3
28.39	3.143	39.1
30.77	2.906	91.5
33.56	2.671	100.0
38.27	2.352	66.1
40.91	2.206	38.0
48.05	1.894	68.4

# 3
Structure and calculated XRD peak list of RbZr3Ga (a structure optimized by DFT (GGA-PBE); Cu Kα).
Peak positions follow from Bragg's law for the DFT cell and can differ from measured ones.

Crystal structure
```
data_RbZr3Ga
_chemical_formula_sum 'Rb1 Zr3 Ga1'
_cell_length_a 5.291
_cell_length_b 5.291
_cell_length_c 5.291
_cell_angle_alpha 90.00
_cell_angle_beta 90.00
_cell_angle_gamma 90.00
_space_group_name_H-M_alt 'P 1'
_space_group_IT_number 1
_space_group_name_Hall 'P 1'
loop_
_atom_site_label
_atom_site_fract_x
_atom_site_fract_y
_atom_site_fract_z
Rb1 0.000 0.000 0.000
Zr1 0.000 0.500 0.500
Zr2 0.500 0.000 0.500
Zr3 0.500 0.500 0.000
Ga1 0.500 0.500 0.500
```

Peak list (8 most intense, 10 to 80 degrees two-theta, by angle)
two_theta	d/Å	Rel. int.
16.76	5.291	19.5
23.78	3.741	11.4
29.24	3.055	88.2
33.89	2.645	100.0
48.68	1.871	70.1
57.80	1.595	36.6
60.63	1.527	23.8
78.86	1.214	14.5